Starting from a cell relaxed with GGA-PBE, the X-ray powder pattern of Ca2NpUS6 was calculated for Cu Kα (weighted mean of Kα1 and Kα2).
Kinematic intensities with the Lorentz-polarization factor, no thermal factor.

The 10 most intense peaks (2θ from 10° to 90°), by angle:
16.84°, I 100; 23.91°, I 74; 34.10°, I 30; 38.20°, I 51; 38.27°, I 15; 42.04°, I 29; 48.95°, I 22; 52.12°, I 36; 55.23°, I 11; 74.29°, I 11

Crystal structure
Cell: 7.437 7.437 5.276 Å, 90.00 90.00 90.00°
Space group P4mm (No. 99)
Unique sites:
Ca 0.000 0.500 0.000 (multiplicity 2)
Np 0.000 0.000 0.730 (multiplicity 1)
U 0.500 0.500 0.734 (multiplicity 1)
S 0.000 0.000 0.235 (multiplicity 1)
S 0.252 0.252 0.781 (multiplicity 4)
S 0.500 0.500 0.245 (multiplicity 1)


Starting from a cell relaxed with GGA-PBE, the X-ray powder pattern of KBaO was calculated for Cu Kα (weighted mean of Kα1 and Kα2).
Kinematic intensities with the Lorentz-polarization factor, no thermal factor.

The 10 most intense peaks (2θ from 10° to 90°), by angle:
18.67°, I 26; 21.98°, I 25; 22.10°, I 26; 24.60°, I 70; 27.28°, I 100; 32.07°, I 36; 33.46°, I 21; 34.62°, I 21; 47.88°, I 30; 48.09°, I 27

Crystal structure
Cell: 4.454 5.582 9.507 Å, 90.00 90.40 90.00°
Space group P2_1/m (No. 11)
Unique sites:
K 0.247 0.250 0.355 (multiplicity 2)
Ba 0.252 0.750 0.073 (multiplicity 2)
O 0.250 0.250 0.064 (multiplicity 2)


Starting from a cell relaxed with GGA-PBE, the X-ray powder pattern of PaSb2Pd was calculated for Cu Kα (weighted mean of Kα1 and Kα2).
Kinematic intensities with the Lorentz-polarization factor, no thermal factor.

The 10 most intense peaks (2θ from 10° to 90°), by angle:
34.59°, I 100; 36.94°, I 19; 39.23°, I 18; 44.04°, I 13; 54.97°, I 12; 60.43°, I 10; 65.05°, I 13; 68.13°, I 14; 72.97°, I 10; 74.87°, I 11

Crystal structure
Cell: 4.113 4.593 9.734 Å, 90.00 90.00 90.00°
Space group Imm2 (No. 44)
Unique sites:
Pa 0.000 0.000 0.000 (multiplicity 2)
Sb 0.000 0.000 0.523 (multiplicity 2)
Sb 0.000 0.500 0.760 (multiplicity 2)
Pd 0.000 0.500 0.230 (multiplicity 2)


Starting from a cell relaxed with GGA-PBE, the X-ray powder pattern of NdDy2Th4 was calculated for Cu Kα (weighted mean of Kα1 and Kα2).
Kinematic intensities with the Lorentz-polarization factor, no thermal factor.

The 10 most intense peaks (2θ from 10° to 90°), by angle:
13.38°, I 23; 26.68°, I 17; 30.20°, I 20; 31.48°, I 100; 32.27°, I 38; 34.35°, I 44; 38.48°, I 15; 44.78°, I 14; 57.05°, I 19; 60.49°, I 16

Crystal structure
Cell: 9.357 9.357 5.548 Å, 90.00 90.00 90.00°
Space group P4_2/mnm (No. 136)
Unique sites:
Nd 0.000 0.000 0.000 (multiplicity 2)
Dy 0.185 0.185 0.500 (multiplicity 4)
Th 0.120 0.624 0.500 (multiplicity 8)


Starting from a cell relaxed with GGA-PBE, the X-ray powder pattern of Dy6Tl2Te was calculated for Cu Kα (weighted mean of Kα1 and Kα2).
Kinematic intensities with the Lorentz-polarization factor, no thermal factor.

The 10 most intense peaks (2θ from 10° to 90°), by angle:
30.42°, I 100; 31.61°, I 35; 32.74°, I 64; 35.98°, I 69; 38.97°, I 29; 45.29°, I 20; 56.28°, I 18; 58.46°, I 35; 59.15°, I 33; 74.39°, I 17

Crystal structure
Cell: 8.6468 8.6468 4.0048 Å, 90.00 90.00 120.00°
Space group P-62m (No. 189)
Unique sites:
Dy 0.0000 0.3906 0.0000 (multiplicity 3)
Dy 0.0000 0.7244 0.5000 (multiplicity 3)
Tl 0.3333 0.6667 0.5000 (multiplicity 2)
Te 0.0000 0.0000 0.0000 (multiplicity 1)


Starting from a cell relaxed with GGA-PBE, the X-ray powder pattern of YSn2Br8 was calculated for Cu Kα (weighted mean of Kα1 and Kα2).
Kinematic intensities with the Lorentz-polarization factor, no thermal factor.

The 10 most intense peaks (2θ from 10° to 90°), by angle:
12.01°, I 82; 15.50°, I 56; 19.26°, I 59; 24.16°, I 100; 27.66°, I 42; 29.18°, I 86; 31.48°, I 50; 36.61°, I 43; 45.81°, I 46; 45.98°, I 44

Crystal structure
Cell: 12.956 9.215 7.799 Å, 90.00 109.14 90.00°
Space group C2/m (No. 12)
Unique sites:
Y 0.000 0.000 0.000 (multiplicity 2)
Sn 0.153 0.500 0.188 (multiplicity 4)
Br 0.081 0.500 0.826 (multiplicity 4)
Br 0.117 0.000 0.752 (multiplicity 4)
Br 0.152 0.191 0.236 (multiplicity 8)


Starting from a cell relaxed with GGA-PBE, the X-ray powder pattern of Rb2H6PtAu was calculated for Cu Kα (weighted mean of Kα1 and Kα2).
Kinematic intensities with the Lorentz-polarization factor, no thermal factor.

The 10 most intense peaks (2θ from 10° to 90°), by angle:
17.09°, I 100; 23.84°, I 23; 29.83°, I 90; 34.57°, I 17; 37.72°, I 69; 46.30°, I 16; 48.81°, I 34; 52.94°, I 18; 58.26°, I 40; 74.86°, I 19

Crystal structure
Cell: 5.9911 5.9911 5.3712 Å, 90.00 90.00 120.00°
Space group P-3m1 (No. 164)
Unique sites:
Rb 0.3333 0.6667 0.2501 (multiplicity 2)
H 0.1340 0.2680 0.8100 (multiplicity 6)
Pt 0.0000 0.0000 0.0000 (multiplicity 1)
Au 0.0000 0.0000 0.5000 (multiplicity 1)


Starting from a cell relaxed with GGA-PBE, the X-ray powder pattern of Rb2As2Pt was calculated for Cu Kα (weighted mean of Kα1 and Kα2).
Kinematic intensities with the Lorentz-polarization factor, no thermal factor.

The 10 most intense peaks (2θ from 10° to 90°), by angle:
15.19°, I 44; 24.30°, I 51; 30.66°, I 76; 30.94°, I 80; 33.81°, I 100; 38.24°, I 21; 42.97°, I 55; 45.83°, I 30; 53.71°, I 58; 56.54°, I 22

Crystal structure
Cell: 6.656 6.656 5.831 Å, 90.00 90.00 90.00°
Space group P4/mbm (No. 127)
Unique sites:
Rb 0.176 0.324 0.000 (multiplicity 4)
As 0.138 0.638 0.500 (multiplicity 4)
Pt 0.000 0.000 0.500 (multiplicity 2)


Starting from a cell relaxed with GGA-PBE, the X-ray powder pattern of Pr4Ni3Bi8 was calculated for Cu Kα (weighted mean of Kα1 and Kα2).
Kinematic intensities with the Lorentz-polarization factor, no thermal factor.

The 10 most intense peaks (2θ from 10° to 90°), by angle:
26.64°, I 27; 27.43°, I 37; 28.95°, I 75; 33.11°, I 100; 33.76°, I 30; 39.18°, I 66; 46.55°, I 25; 48.49°, I 30; 56.62°, I 24; 67.18°, I 26

Crystal structure
Cell: 4.598 4.598 19.511 Å, 90.00 90.00 90.00°
Space group P-4m2 (No. 115)
Unique sites:
Pr 0.000 0.500 0.113 (multiplicity 2)
Pr 0.000 0.500 0.616 (multiplicity 2)
Ni 0.000 0.000 0.000 (multiplicity 1)
Ni 0.000 0.000 0.500 (multiplicity 1)
Ni 0.500 0.500 0.500 (multiplicity 1)
Bi 0.000 0.000 0.249 (multiplicity 2)
Bi 0.000 0.500 0.429 (multiplicity 2)
Bi 0.000 0.500 0.934 (multiplicity 2)
Bi 0.500 0.500 0.249 (multiplicity 2)


Starting from a cell relaxed with GGA-PBE, the X-ray powder pattern of AcNdCI was calculated for Cu Kα (weighted mean of Kα1 and Kα2).
Kinematic intensities with the Lorentz-polarization factor, no thermal factor.

The 10 most intense peaks (2θ from 10° to 90°), by angle:
26.19°, I 54; 29.84°, I 86; 31.85°, I 100; 33.04°, I 31; 45.60°, I 22; 45.73°, I 43; 56.81°, I 19; 57.57°, I 39; 59.47°, I 18; 75.79°, I 17

Crystal structure
Cell: 3.9681 3.9681 24.3987 Å, 90.00 90.00 120.00°
Space group R3m (No. 160, hexagonal axes)
Unique sites:
Ac 0.0000 0.0000 0.0000 (multiplicity 3)
Nd 0.0000 0.0000 0.2162 (multiplicity 3)
C 0.0000 0.0000 0.6031 (multiplicity 3)
I 0.0000 0.0000 0.7814 (multiplicity 3)


Starting from a cell relaxed with GGA-PBE, the X-ray powder pattern of BeZnTe2S was calculated for Cu Kα (weighted mean of Kα1 and Kα2).
Kinematic intensities with the Lorentz-polarization factor, no thermal factor.

The 10 most intense peaks (2θ from 10° to 90°), by angle:
11.73°, I 43; 22.30°, I 57; 25.70°, I 58; 26.36°, I 100; 29.45°, I 51; 31.80°, I 60; 31.98°, I 81; 35.69°, I 43; 43.67°, I 29; 54.73°, I 30

Crystal structure
Cell: 3.967 4.035 7.568 Å, 91.81 93.59 98.63°
Space group P1 (No. 1)
Unique sites:
Be 0.000 0.000 0.000 (multiplicity 1)
Zn 0.564 0.531 0.325 (multiplicity 1)
Te 0.119 0.755 0.526 (multiplicity 1)
Te 0.831 0.467 0.827 (multiplicity 1)
S 0.497 0.041 0.142 (multiplicity 1)